The following is a theoretical powder X-ray diffraction pattern of MgCu2SiS4. It was derived from a DFT-relaxed cell (PBE, OQMD), using copper Kα.

Structural model:
```
16
Lattice="7.5532 0.0000 0.0000 0.0000 6.4465 0.0000 0.0000 0.0000 6.1935" Properties=species:S:1:pos:R:3 pbc="T T T"
Mg 0.0000 0.9974 0.0000
Mg 3.7766 5.4491 3.0968
Cu 1.8699 2.0788 3.0372
Cu 1.9068 4.3678 6.1339
Cu 5.6465 4.3678 6.1339
Cu 5.6834 2.0788 3.0372
Si 0.0000 5.3004 3.0871
Si 3.7766 1.1461 6.1838
S 0.0000 0.9082 3.7320
S 0.0000 5.1974 0.9352
S 1.7345 4.2658 3.8421
S 2.0421 2.1807 0.7454
S 3.7766 1.2492 4.0320
S 3.7766 5.5383 0.6352
S 5.5111 2.1807 0.7454
S 5.8187 4.2658 3.8421
```

Top 12 peaks for 10° ≤ 2θ ≤ 90°, by intensity:
| 2θ/deg | intensity |
| --- | --- |
| 27.4 | 100 |
| 31.0 | 94 |
| 28.8 | 91 |
| 52.5 | 83 |
| 48.8 | 74 |
| 27.7 | 61 |
| 19.9 | 47 |
| 52.6 | 44 |
| 57.6 | 42 |
| 48.2 | 41 |
| 31.3 | 36 |
| 40.2 | 33 |

=====

The following is a theoretical powder X-ray diffraction pattern of DyMgGaPd. It was derived from a DFT-relaxed cell (PBE, OQMD), using copper Kα.

Structural model:
```
16
Lattice="3.2719 0.0000 0.0000 0.0000 21.7299 0.0000 0.0000 0.0000 5.0754" Properties=species:S:1:pos:R:3 pbc="T T T"
Dy 0.0000 1.9775 0.0000
Dy 0.0000 19.7525 0.0000
Dy 1.6360 8.8875 0.0000
Dy 1.6360 12.8424 0.0000
Mg 0.0000 6.8743 2.5053
Mg 0.0000 14.8556 2.5053
Mg 1.6360 3.9907 2.5053
Mg 1.6360 17.7393 2.5053
Ga 0.0000 9.6234 2.5422
Ga 0.0000 12.1065 2.5422
Ga 1.6360 1.2415 2.5422
Ga 1.6360 20.4884 2.5422
Pd 0.0000 6.5531 5.0459
Pd 0.0000 15.1768 5.0459
Pd 1.6360 4.3118 5.0459
Pd 1.6360 17.4181 5.0459
```

Top 12 peaks for 10° ≤ 2θ ≤ 90°, by intensity:
| 2θ/deg | intensity |
| --- | --- |
| 38.7 | 100 |
| 17.5 | 80 |
| 32.8 | 77 |
| 34.3 | 77 |
| 35.4 | 66 |
| 50.1 | 52 |
| 45.4 | 43 |
| 33.0 | 26 |
| 24.6 | 22 |
| 65.7 | 21 |
| 68.2 | 19 |
| 75.0 | 19 |

=====

The following is a theoretical powder X-ray diffraction pattern of TbSmBr3N. It was derived from a DFT-relaxed cell (PBE, OQMD), using copper Kα.

Structural model:
```
12
Lattice="9.2075 -1.9634 0.0000 9.2075 1.9634 0.0000 -6.7268 0.0000 9.5748" Properties=species:S:1:pos:R:3 pbc="T T T"
Tb 0.5840 0.0000 2.7360
Tb 11.1042 0.0000 6.8387
Sm 7.5313 0.0000 0.3884
Sm 4.1569 0.0000 9.1863
Br -4.3535 0.0000 7.1132
Br 3.1868 0.0000 1.1911
Br 2.7881 0.0000 4.6951
Br 8.9000 0.0000 4.8796
Br 8.5014 0.0000 8.3836
Br 16.0417 0.0000 2.4615
N 2.1335 0.0000 8.0834
N 9.5546 0.0000 1.4914
```

Top 12 peaks for 10° ≤ 2θ ≤ 90°, by intensity:
| 2θ/deg | intensity |
| --- | --- |
| 32.1 | 100 |
| 26.5 | 87 |
| 27.8 | 73 |
| 31.2 | 69 |
| 35.2 | 48 |
| 30.6 | 46 |
| 41.5 | 46 |
| 43.0 | 44 |
| 33.4 | 40 |
| 46.2 | 38 |
| 38.6 | 35 |
| 39.5 | 30 |

=====

The following is a theoretical powder X-ray diffraction pattern of KZrIn2Br6. It was derived from a DFT-relaxed cell (PBE, OQMD), using copper Kα.

Structural model:
```
10
Lattice="0.0000 5.7668 5.7668 5.7668 0.0000 5.7668 5.7668 5.7668 0.0000" Properties=species:S:1:pos:R:3 pbc="T T T"
K 0.0000 0.0000 0.0000
Zr 5.7668 5.7668 5.7668
In 2.8834 2.8834 2.8834
In 8.6502 8.6502 8.6502
Br 5.7668 5.7668 3.0893
Br 5.7668 3.0893 5.7668
Br 8.4442 5.7668 5.7668
Br 3.0893 5.7668 5.7668
Br 5.7668 8.4442 5.7668
Br 5.7668 5.7668 8.4442
```

Top 12 peaks for 10° ≤ 2θ ≤ 90°, by intensity:
| 2θ/deg | intensity |
| --- | --- |
| 31.0 | 100 |
| 26.8 | 92 |
| 44.4 | 69 |
| 52.6 | 37 |
| 21.8 | 31 |
| 73.4 | 27 |
| 55.2 | 23 |
| 81.8 | 19 |
| 13.3 | 16 |
| 71.3 | 13 |
| 38.2 | 12 |
| 64.7 | 10 |

=====

The following is a theoretical powder X-ray diffraction pattern of Ni12W. It was derived from a DFT-relaxed cell (PBE, OQMD), using copper Kα.

Structural model:
```
13
Lattice="2.2962 1.3257 8.2212 -2.2962 1.3257 8.2212 0.0000 -2.6514 8.2212" Properties=species:S:1:pos:R:3 pbc="T T T"
Ni 0.0000 0.0000 1.1428
Ni -1.1638 -0.6719 10.3483
Ni 0.0000 0.0000 3.7212
Ni 0.0000 0.0000 8.2721
Ni 0.0000 -1.3438 14.3153
Ni -1.1638 0.6719 14.3153
Ni 1.1638 -0.6719 10.3482
Ni 0.0000 1.3438 10.3482
Ni 0.0000 0.0000 16.3914
Ni 0.0000 0.0000 20.9423
Ni 1.1638 0.6719 14.3153
Ni 0.0000 0.0000 23.5207
W 0.0000 0.0000 12.3318
```

Top 12 peaks for 10° ≤ 2θ ≤ 90°, by intensity:
| 2θ/deg | intensity |
| --- | --- |
| 45.2 | 100 |
| 39.2 | 54 |
| 46.5 | 51 |
| 49.4 | 46 |
| 52.9 | 28 |
| 22.6 | 27 |
| 44.1 | 25 |
| 84.4 | 25 |
| 10.8 | 24 |
| 46.2 | 23 |
| 76.3 | 22 |
| 75.3 | 21 |

=====

The following is a theoretical powder X-ray diffraction pattern of LiCuReS3. It was derived from a DFT-relaxed cell (PBE, OQMD), using copper Kα.

Structural model:
```
12
Lattice="1.6349 -6.1278 0.0000 1.6349 6.1278 0.0000 0.0000 0.0000 9.2086" Properties=species:S:1:pos:R:3 pbc="T T T"
Li 1.6349 3.1648 6.9064
Li 1.6349 -3.1648 2.3021
Cu 1.6349 0.5616 2.3021
Cu 1.6349 -0.5616 6.9064
Re 0.0000 0.0000 0.0000
Re 0.0000 0.0000 4.6043
S 1.6349 5.0422 2.3021
S 1.6349 1.7449 0.4248
S 1.6349 1.7449 4.1795
S 1.6349 -1.7449 5.0291
S 1.6349 -1.7449 8.7838
S 1.6349 -5.0422 6.9064
```

Top 12 peaks for 10° ≤ 2θ ≤ 90°, by intensity:
| 2θ/deg | intensity |
| --- | --- |
| 14.5 | 100 |
| 40.4 | 45 |
| 34.4 | 31 |
| 35.2 | 22 |
| 50.6 | 16 |
| 19.3 | 16 |
| 39.1 | 16 |
| 41.9 | 16 |
| 48.8 | 11 |
| 24.2 | 11 |
| 62.2 | 8 |
| 28.2 | 8 |

=====

The following is a theoretical powder X-ray diffraction pattern of BeCuOs2. It was derived from a DFT-relaxed cell (PBE, OQMD), using copper Kα.

Structural model:
```
16
Lattice="5.8752 0.0000 0.0000 0.0000 5.8752 0.0000 0.0000 0.0000 5.8752" Properties=species:S:1:pos:R:3 pbc="T T T"
Be 0.0000 0.0000 0.0000
Be 0.0000 2.9376 2.9376
Be 2.9376 0.0000 2.9376
Be 2.9376 2.9376 0.0000
Cu 1.4688 1.4688 1.4688
Cu 1.4688 4.4064 4.4064
Cu 4.4064 1.4688 4.4064
Cu 4.4064 4.4064 1.4688
Os 0.0000 0.0000 2.9376
Os 0.0000 2.9376 0.0000
Os 1.4688 1.4688 4.4064
Os 1.4688 4.4064 1.4688
Os 2.9376 0.0000 0.0000
Os 2.9376 2.9376 2.9376
Os 4.4064 1.4688 1.4688
Os 4.4064 4.4064 4.4064
```

Top 10 peaks for 10° ≤ 2θ ≤ 90°, by intensity:
| 2θ/deg | intensity |
| --- | --- |
| 43.6 | 100 |
| 26.3 | 58 |
| 80.0 | 34 |
| 51.6 | 29 |
| 63.3 | 16 |
| 69.8 | 12 |
| 86.0 | 10 |
| 30.4 | 3 |
| 71.9 | 1 |
| 54.1 | 1 |

=====

The following is a theoretical powder X-ray diffraction pattern of Ag2HgPbSeS3. It was derived from a DFT-relaxed cell (PBE, OQMD), using copper Kα.

Structural model:
```
16
Lattice="8.4857 0.0000 0.0000 0.0000 8.3806 0.0000 -4.2050 0.0000 6.0950" Properties=species:S:1:pos:R:3 pbc="T T T"
Ag 0.0000 1.9889 0.0000
Ag 0.0000 6.3917 0.0000
Ag 4.2428 2.2014 0.0000
Ag 4.2428 6.1792 0.0000
Hg -2.1305 4.1903 3.1321
Hg 2.1123 0.0000 3.1321
Pb -2.0647 0.0000 3.1402
Pb 2.1781 4.1903 3.1402
Se 0.0207 4.1903 1.5025
Se 4.2635 0.0000 1.5025
S 0.0151 0.0000 1.5867
S -2.0819 2.0821 4.6964
S -2.0819 6.2985 4.6964
S 4.2579 4.1903 1.5867
S 2.1609 2.1082 4.6964
S 2.1609 6.2724 4.6964
```

Top 12 peaks for 10° ≤ 2θ ≤ 90°, by intensity:
| 2θ/deg | intensity |
| --- | --- |
| 25.8 | 100 |
| 25.5 | 52 |
| 25.7 | 52 |
| 42.3 | 40 |
| 42.5 | 40 |
| 30.0 | 32 |
| 49.9 | 25 |
| 42.6 | 20 |
| 43.2 | 19 |
| 29.3 | 17 |
| 50.4 | 16 |
| 67.9 | 16 |